Structure and calculated PXRD pattern of PrY2P3 (a structure optimized by DFT (GGA-PBE); Cu Ka).
Peak positions follow from Bragg's law for the DFT cell and can differ from measured ones.

Structural model:
Lattice parameters (Å, degrees): 4.0761 4.0761 9.9759 90.00 90.00 120.00
Space group P-3m1 (No. 164)
Asymmetric unit:
Pr 0.0000 0.0000 0.0000 x1
Y 0.3333 0.6667 0.3380 x2
P 0.0000 0.0000 0.5000 x1
P 0.3333 0.6667 0.8237 x2

Most intense lines, 2θ from 15° to 90°, by angle:
| h k l | two_theta | I_rel |
| --- | --- | --- |
| 0 0 3 | 26.8 | 61 |
| 1 0 2 | 31.0 | 100 |
| 1 1 0 | 44.5 | 71 |
| 1 0 5 | 52.7 | 28 |
| 0 2 2 | 55.2 | 25 |
| 0 1 7 | 71.3 | 12 |
| 2 1 2 | 73.5 | 31 |
| 3 0 0 | 81.9 | 23 |